The following is a calculated powder X-ray diffraction pattern of LaZrS3. It was derived from the GGA-PBE geometry in OQMD, using a wavelength of 1.5418 Å.

Main lines, low angle first (15° ≤ 2θ ≤ 90°):
| (hkl) | two_theta | Rel. int. |
| --- | --- | --- |
| 0 2 2 | 23.71 | 100 |
| 1 1 1 | 26.16 | 40 |
| 1 3 0 | 32.07 | 26 |
| 1 3 1 | 33.47 | 67 |
| 1 3 2 | 37.38 | 28 |
| 1 1 3 | 37.62 | 42 |
| 0 0 4 | 37.90 | 26 |
| 0 6 2 | 48.53 | 45 |
| 1 3 5 | 58.82 | 22 |
| 2 6 2 | 70.32 | 29 |

```
data_LaZrS3
_chemical_formula_sum 'La4 Zr4 S12'
_symmetry_space_group_name_H-M 'C m c m'
_symmetry_Int_Tables_number 63
_symmetry_space_group_name_Hall '-C 2c 2'
_cell_length_a 3.822
_cell_length_b 12.251
_cell_length_c 9.496
_cell_angle_alpha 90.00
_cell_angle_beta 90.00
_cell_angle_gamma 90.00
loop_
_atom_site_label
_atom_site_fract_x
_atom_site_fract_y
_atom_site_fract_z
La1 0.000 0.247 0.250
Zr1 0.000 0.000 0.000
S1 0.000 0.074 0.750
S2 0.000 0.361 0.560
```

---

The following is a calculated powder X-ray diffraction pattern of SrAu. It was derived from the GGA-PBE geometry in OQMD, using a wavelength of 1.5418 Å.

Main lines, low angle first (15° ≤ 2θ ≤ 90°):
| (hkl) | two_theta | Rel. int. |
| --- | --- | --- |
| 1 0 4 | 17.44 | 14 |
| 0 0 10 | 22.24 | 23 |
| 0 1 10 | 29.21 | 48 |
| 2 0 4 | 30.99 | 25 |
| 1 1 -10 | 31.93 | 24 |
| 1 1 10 | 33.43 | 27 |
| 2 1 -6 | 36.44 | 100 |
| 0 2 0 | 37.90 | 43 |
| 2 2 4 | 49.74 | 13 |
| 2 3 -6 | 67.52 | 17 |

```
data_SrAu
_chemical_formula_sum 'Sr20 Au20'
_symmetry_space_group_name_H-M 'P 1 21/m 1'
_symmetry_Int_Tables_number 11
_cell_length_a 6.188
_cell_length_b 4.746
_cell_length_c 40.078
_cell_angle_alpha 90.00
_cell_angle_beta 94.19
_cell_angle_gamma 90.00
loop_
_symmetry_equiv_pos_as_xyz
'x,y,z'
'-x,-y,-z'
'-x,y+1/2,-z'
'x,-y+1/2,z'
loop_
_atom_site_label
_atom_site_fract_x
_atom_site_fract_y
_atom_site_fract_z
Sr1 0.023 0.250 0.086
Sr2 0.074 0.750 0.614
Sr3 0.158 0.750 0.814
Sr4 0.162 0.750 0.314
Sr5 0.251 0.750 0.514
Sr6 0.262 0.750 0.014
Sr7 0.343 0.750 0.214
Sr8 0.352 0.750 0.714
Sr9 0.441 0.750 0.414
Sr10 0.464 0.250 0.886
Au1 0.046 0.750 0.142
Au2 0.048 0.250 0.558
Au3 0.138 0.250 0.258
Au4 0.147 0.250 0.758
Au5 0.223 0.250 0.958
Au6 0.238 0.250 0.458
Au7 0.323 0.250 0.658
Au8 0.333 0.250 0.158
Au9 0.410 0.250 0.358
Au10 0.493 0.750 0.942
```

---

The following is a calculated powder X-ray diffraction pattern of BaSiAg2Te3S. It was derived from the GGA-PBE geometry in OQMD, using a wavelength of 1.5418 Å.

Main lines, low angle first (15° ≤ 2θ ≤ 90°):
| (hkl) | two_theta | Rel. int. |
| --- | --- | --- |
| 1 1 0 | 26.21 | 100 |
| 0 2 -1 | 26.38 | 41 |
| 2 0 -1 | 26.73 | 48 |
| 0 1 -2 | 27.70 | 66 |
| 0 1 1 | 28.49 | 43 |
| 1 2 -2 | 32.70 | 32 |
| 2 1 -1 | 32.90 | 34 |
| 0 0 2 | 33.19 | 44 |
| 2 -2 0 | 34.29 | 52 |
| 1 2 -4 | 53.10 | 30 |

```
data_BaSiAg2Te3S
_chemical_formula_sum 'Ba1 Si1 Ag2 Te3 S1'
_symmetry_space_group_name_H-M 'P 1'
_symmetry_Int_Tables_number 1
_cell_length_a 6.782
_cell_length_b 6.871
_cell_length_c 6.956
_cell_angle_alpha 116.06
_cell_angle_beta 111.55
_cell_angle_gamma 100.21
loop_
_symmetry_equiv_pos_as_xyz
'x,y,z'
loop_
_atom_site_label
_atom_site_fract_x
_atom_site_fract_y
_atom_site_fract_z
Ba1 0.000 0.000 0.000
Si1 0.466 0.515 0.003
Ag1 0.310 0.814 0.474
Ag2 0.680 0.201 0.501
Te1 0.454 0.484 0.618
Te2 0.514 0.148 0.980
Te3 0.844 0.857 0.384
S1 0.161 0.544 0.014
```

---

The following is a calculated powder X-ray diffraction pattern of Rb5TcO6. It was derived from the GGA-PBE geometry in OQMD, using a wavelength of 1.5418 Å.

Main lines, low angle first (15° ≤ 2θ ≤ 90°):
| (hkl) | two_theta | Rel. int. |
| --- | --- | --- |
| 2 0 0 | 28.96 | 100 |
| 0 0 2 | 29.80 | 30 |
| 2 0 -2 | 33.68 | 36 |
| 1 3 1 | 33.87 | 71 |
| 3 3 -1 | 47.95 | 22 |
| 1 3 -3 | 49.07 | 21 |
| 2 6 0 | 57.13 | 12 |
| 3 3 -3 | 57.37 | 12 |
| 0 6 2 | 57.61 | 23 |
| 4 0 0 | 60.00 | 15 |

```
data_Rb5TcO6
_chemical_formula_sum 'Rb10 Tc2 O12'
_symmetry_space_group_name_H-M 'C 1 2/m 1'
_symmetry_Int_Tables_number 12
_cell_length_a 6.580
_cell_length_b 11.346
_cell_length_c 6.394
_cell_angle_alpha 90.00
_cell_angle_beta 110.32
_cell_angle_gamma 90.00
loop_
_symmetry_equiv_pos_as_xyz
'x,y,z'
'-x,-y,-z'
'-x,y,-z'
'x,-y,z'
'x+1/2,y+1/2,z'
'-x+1/2,-y+1/2,-z'
'-x+1/2,y+1/2,-z'
'x+1/2,-y+1/2,z'
loop_
_atom_site_label
_atom_site_fract_x
_atom_site_fract_y
_atom_site_fract_z
Rb1 0.000 0.000 0.000
Rb2 0.000 0.167 0.500
Rb3 0.000 0.334 0.000
Tc1 0.000 0.500 0.500
O1 0.177 0.500 0.315
O2 0.182 0.380 0.687
```

---

The following is a calculated powder X-ray diffraction pattern of PdPt2. It was derived from the GGA-PBE geometry in OQMD, using a wavelength of 1.5418 Å.

Main lines, low angle first (15° ≤ 2θ ≤ 90°):
| (hkl) | two_theta | Rel. int. |
| --- | --- | --- |
| 1 1 1 | 20.83 | 32 |
| 2 2 0 | 34.34 | 13 |
| 3 1 1 | 40.51 | 100 |
| 2 2 2 | 42.39 | 60 |
| 4 0 0 | 49.36 | 15 |
| 3 3 1 | 54.13 | 8 |
| 5 1 1 | 65.69 | 32 |
| 4 4 0 | 72.38 | 31 |
| 5 3 3 | 86.39 | 12 |
| 6 2 2 | 87.64 | 24 |

Cell: 7.386 7.386 7.386 Å, 90.00 90.00 90.00°
Space group Fd-3m (No. 227, origin choice 2)
Asymmetric unit:
1 Pd 0.125 0.125 0.125
2 Pt 0.000 0.000 0.500

---

The following is a calculated powder X-ray diffraction pattern of Nd3Zn3IrPt2. It was derived from the GGA-PBE geometry in OQMD, using a wavelength of 1.5418 Å.

Main lines, low angle first (15° ≤ 2θ ≤ 90°):
| (hkl) | two_theta | Rel. int. |
| --- | --- | --- |
| 1 1 0 | 24.15 | 38 |
| 1 0 1 | 26.18 | 19 |
| 1 1 1 | 32.96 | 75 |
| 2 0 1 | 35.91 | 100 |
| 2 1 0 | 37.27 | 25 |
| 3 0 0 | 42.49 | 44 |
| 2 1 1 | 43.75 | 44 |
| 0 0 2 | 45.05 | 27 |
| 3 0 2 | 63.65 | 27 |
| 3 2 1 | 68.15 | 30 |

```
data_Nd3Zn3IrPt2
_chemical_formula_sum 'Nd3 Zn3 Ir1 Pt2'
_symmetry_space_group_name_H-M 'P -6 2 m'
_symmetry_Int_Tables_number 189
_symmetry_space_group_name_Hall 'P -6 -2'
_cell_length_a 7.3701
_cell_length_b 7.3701
_cell_length_c 4.0245
_cell_angle_alpha 90.00
_cell_angle_beta 90.00
_cell_angle_gamma 120.00
loop_
_atom_site_label
_atom_site_fract_x
_atom_site_fract_y
_atom_site_fract_z
Nd1 0.0000 0.5962 0.0000
Zn1 0.0000 0.2379 0.5000
Ir1 0.0000 0.0000 0.0000
Pt1 0.3333 0.6667 0.5000
```